No. 1
The following is a simulated powder diffractogram of Sm2In8Ru. It was derived from DFT lattice parameters and positions (GGA-PBE), using Cu Kα (λ = 1.5418 Å).
Intensities are scaled so that the largest is 100.

Principal peaks in the range 2θ from 10° to 90°, by angle:
2θ/deg, I (rel.), h k l
30.74, 34, 1 1 2
34.85, 100, 1 1 3
36.33, 18, 0 0 5
38.63, 53, 2 0 0
39.99, 8, 1 1 4
54.07, 23, 2 0 5
55.78, 18, 2 2 0
66.86, 14, 1 1 8
67.48, 28, 3 1 3
68.41, 11, 2 2 5

Structural model:
Cell: 4.662 4.662 12.363 Å, 90.00 90.00 90.00°
Space group P4/mmm (No. 123)
Asymmetric unit:
Sm (0.000, 0.000, 0.192)
In (0.000, 0.500, 0.000)
In (0.000, 0.500, 0.379)
In (0.500, 0.500, 0.191)
Ru (0.000, 0.000, 0.500)

---

No. 2
The following is a simulated powder diffractogram of Sm4InRu2. It was derived from DFT lattice parameters and positions (GGA-PBE), using Cu Kα (λ = 1.5418 Å).
Intensities are scaled so that the largest is 100.

Principal peaks in the range 2θ from 10° to 90°, by angle:
2θ/deg, I (rel.), h k l
29.95, 86, 2 0 -1
31.39, 61, 1 0 2
32.35, 69, 1 2 0
32.72, 69, 1 1 -3
33.30, 100, -1 2 1
34.37, 40, 0 3 -2
34.64, 43, 1 2 -3
36.32, 49, 2 -2 1
39.83, 26, 2 2 -1
45.74, 31, 0 4 -2

Structural model:
Cell: 6.073 7.968 8.597 Å, 117.36 99.56 95.23°
Space group P1 (No. 1)
Asymmetric unit:
Sm (0.000, 0.000, 0.000)
Sm (0.067, 0.486, 0.967)
Sm (0.192, 0.300, 0.506)
Sm (0.260, 0.746, 0.457)
Sm (0.499, 0.167, 0.882)
Sm (0.580, 0.093, 0.276)
Sm (0.659, 0.647, 0.176)
Sm (0.762, 0.583, 0.564)
In (0.430, 0.727, 0.846)
In (0.855, 0.031, 0.601)
Ru (0.069, 0.906, 0.271)
Ru (0.360, 0.378, 0.224)
Ru (0.643, 0.378, 0.725)
Ru (0.884, 0.365, 0.218)

---

No. 3
The following is a simulated powder diffractogram of Sm5In2Ru2. It was derived from DFT lattice parameters and positions (GGA-PBE), using Cu Kα (λ = 1.5418 Å).
Intensities are scaled so that the largest is 100.

Principal peaks in the range 2θ from 10° to 90°, by angle:
2θ/deg, I (rel.), h k l
10.67, 44, 2 0 0
26.23, 42, 0 2 1
30.42, 67, 3 1 2
31.47, 86, 4 0 2
32.07, 85, 4 2 0
32.99, 60, 0 2 2
34.11, 100, 4 2 1
36.90, 61, 1 1 3
37.52, 60, 5 1 2
37.95, 52, 1 3 1

Structural model:
Cell: 16.579 7.550 7.814 Å, 90.00 90.00 90.00°
Space group Cmce (No. 64)
Asymmetric unit:
Sm (0.000, 0.000, 0.000)
Sm (0.118, 0.176, 0.324)
In (0.221, 0.000, 0.000)
Ru (0.000, 0.120, 0.627)